No. 1
The following is a simulated PXRD pattern of K3DyHo2Te6. It was derived from a structure optimized by DFT (PBE), using Cu Kα.

Principal peaks in the range 2θ from 10° to 90°, by angle:
h k l, Position (°2θ), Rel. int.
0 0 1, 10.73, 49
1 3 1, 27.11, 100
1 3 2, 34.31, 20
2 0 2, 37.17, 35
0 6 0, 40.21, 37
3 3 0, 41.74, 12
2 0 3, 46.69, 13
4 0 0, 49.17, 19
3 3 3, 61.07, 11
4 6 0, 65.33, 16

Structural model:
Cell: 7.768 13.456 8.640 Å, 90.00 107.44 90.00°
Space group C2/m (No. 12)
Inequivalent atoms, fractional coordinates:
K 0.000 0.000 0.000 [2 per cell]
K 0.000 0.333 0.000 [4 per cell]
Dy 0.000 0.500 0.500 [2 per cell]
Ho 0.000 0.167 0.500 [4 per cell]
Te 0.235 0.000 0.708 [4 per cell]
Te 0.236 0.333 0.708 [8 per cell]


No. 2
The following is a simulated PXRD pattern of LaDyHo2. It was derived from a structure optimized by DFT (PBE), using Cu Kα.

Principal peaks in the range 2θ from 10° to 90°, by angle:
h k l, Position (°2θ), Rel. int.
0 1 2, 29.03, 34
0 0 12, 30.94, 52
0 1 5, 31.39, 100
1 0 7, 33.91, 90
1 1 0, 50.58, 40
0 1 17, 53.65, 19
1 0 19, 58.56, 20
1 1 12, 60.49, 46
0 2 7, 62.30, 16
1 1 24, 86.23, 17

Structural model:
Cell: 3.6089 3.6089 34.6818 Å, 90.00 90.00 120.00°
Space group R3m (No. 160, hexagonal axes)
Inequivalent atoms, fractional coordinates:
La 0.0000 0.0000 0.0000 [3 per cell]
Dy 0.0000 0.0000 0.8342 [3 per cell]
Ho 0.0000 0.0000 0.4189 [3 per cell]
Ho 0.0000 0.0000 0.5818 [3 per cell]


No. 3
The following is a simulated PXRD pattern of La4DyHo2. It was derived from a structure optimized by DFT (PBE), using Cu Kα.

Principal peaks in the range 2θ from 10° to 90°, by angle:
h k l, Position (°2θ), Rel. int.
0 2 2, 28.20, 15
1 7 1, 29.77, 100
4 2 0, 30.42, 27
2 0 2, 31.10, 66
3 5 1, 31.77, 29
2 2 2, 31.96, 21
3 7 1, 36.57, 29
1 7 3, 49.80, 21
2 14 0, 54.31, 16
0 14 2, 59.69, 14

Structural model:
Cell: 12.102 24.630 6.536 Å, 90.00 90.00 90.00°
Space group Fdd2 (No. 43)
Inequivalent atoms, fractional coordinates:
La 0.047 0.428 0.000 [16 per cell]
La 0.070 0.356 0.468 [16 per cell]
Dy 0.000 0.000 0.999 [8 per cell]
Ho 0.021 0.283 0.949 [16 per cell]


No. 4
The following is a simulated PXRD pattern of La6Dy5Ho2. It was derived from a structure optimized by DFT (PBE), using Cu Kα.

Principal peaks in the range 2θ from 10° to 90°, by angle:
h k l, Position (°2θ), Rel. int.
4 1 0, 30.67, 44
1 7 0, 30.86, 100
3 5 0, 31.24, 15
2 3 1, 31.59, 95
2 4 1, 33.62, 32
3 3 1, 36.02, 33
0 0 2, 50.06, 18
1 10 1, 50.92, 13
4 1 2, 59.86, 14
1 7 2, 59.97, 16

Structural model:
Cell: 11.776 20.924 3.644 Å, 90.00 90.00 90.00°
Space group Pbam (No. 55)
Inequivalent atoms, fractional coordinates:
La 0.060 0.081 0.000 [4 per cell]
La 0.083 0.367 0.000 [4 per cell]
La 0.173 0.636 0.500 [4 per cell]
Dy 0.000 0.500 0.500 [2 per cell]
Dy 0.094 0.227 0.500 [4 per cell]
Dy 0.199 0.943 0.500 [4 per cell]
Ho 0.164 0.791 0.000 [4 per cell]


No. 5
The following is a simulated PXRD pattern of LaDy2Ho6. It was derived from a structure optimized by DFT (PBE), using Cu Kα.

Principal peaks in the range 2θ from 10° to 90°, by angle:
h k l, Position (°2θ), Rel. int.
0 0 6, 28.08, 48
0 2 1, 28.51, 100
2 0 2, 29.66, 18
0 2 4, 33.93, 77
2 0 5, 36.84, 85
2 2 0, 49.75, 42
0 2 10, 56.29, 18
2 2 6, 58.10, 28
2 0 11, 60.90, 18
2 2 9, 67.59, 16

Structural model:
Cell: 7.3307 7.3307 19.0660 Å, 90.00 90.00 120.00°
Space group R3m (No. 160, hexagonal axes)
Inequivalent atoms, fractional coordinates:
La 0.0000 0.0000 0.0000 [3 per cell]
Dy 0.0000 0.0000 0.2617 [3 per cell]
Dy 0.0000 0.0000 0.4389 [3 per cell]
Ho 0.0151 0.5075 0.4508 [9 per cell]
Ho 0.0425 0.5212 0.2523 [9 per cell]


No. 6
The following is a simulated PXRD pattern of La5Dy2Ho6. It was derived from a structure optimized by DFT (PBE), using Cu Kα.

Principal peaks in the range 2θ from 10° to 90°, by angle:
h k l, Position (°2θ), Rel. int.
1 6 0, 26.89, 15
4 1 0, 30.91, 59
1 7 0, 31.09, 100
2 3 1, 31.79, 84
2 4 1, 33.85, 42
3 6 0, 34.69, 18
3 3 1, 36.26, 41
0 0 2, 50.31, 19
4 1 2, 60.22, 22
1 7 2, 60.36, 16

Structural model:
Cell: 11.685 20.743 3.627 Å, 90.00 90.00 90.00°
Space group Pbam (No. 55)
Inequivalent atoms, fractional coordinates:
La 0.000 0.000 0.000 [2 per cell]
La 0.078 0.272 0.000 [4 per cell]
La 0.200 0.550 0.000 [4 per cell]
Dy 0.176 0.711 0.500 [4 per cell]
Ho 0.063 0.419 0.500 [4 per cell]
Ho 0.078 0.132 0.500 [4 per cell]
Ho 0.177 0.861 0.000 [4 per cell]